1.
# NpCrIn2O8
Computed powder XRD pattern, Cu Kα X-rays. Input: a PBE+U-relaxed structure.
Kinematic intensities with the Lorentz-polarization factor, no thermal factor.

Most intense lines, 5° ≤ 2θ ≤ 70°, low angle first:
2θ/deg	Rel. int.
13.7	22.3
22.7	42.5
25.0	70.0
26.0	59.9
33.2	100.0
36.4	31.5
49.5	49.6
50.6	39.1
53.5	12.0
63.4	25.1

Structure:
```
NpCrIn2O8
1.0
3.426 -3.560 0.000
3.426 3.560 0.000
0.000 0.000 6.455
Np Cr In O
1 1 2 8
Direct
0.000 0.000 0.000
0.000 0.000 0.500
0.500 0.500 0.262
0.500 0.500 0.738
0.179 0.821 0.245
0.179 0.821 0.755
0.289 0.289 0.500
0.300 0.300 0.000
0.700 0.700 0.000
0.711 0.711 0.500
0.821 0.179 0.245
0.821 0.179 0.755
```



2.
# CrInO3
Computed powder XRD pattern, Cu Kα X-rays. Input: a PBE+U-relaxed structure.
Kinematic intensities with the Lorentz-polarization factor, no thermal factor.

Most intense lines, 5° ≤ 2θ ≤ 70°, low angle first:
2θ/deg	Rel. int.
20.3	16.6
24.9	26.0
32.3	100.0
35.5	40.2
46.3	13.8
48.7	16.0
53.3	17.9
55.5	42.7
59.7	10.0
69.5	17.3

Structure:
```
CrInO3
1.0
6.198 0.000 0.000
0.000 6.198 0.000
0.000 0.000 6.198
Cr In O
4 4 12
Direct
0.095 0.095 0.095
0.405 0.905 0.595
0.595 0.405 0.905
0.905 0.595 0.405
0.127 0.627 0.873
0.373 0.373 0.373
0.627 0.873 0.127
0.873 0.127 0.627
0.020 0.281 0.356
0.144 0.980 0.781
0.219 0.644 0.520
0.281 0.356 0.020
0.356 0.020 0.281
0.480 0.719 0.856
0.520 0.219 0.644
0.644 0.520 0.219
0.719 0.856 0.480
0.781 0.144 0.980
0.856 0.480 0.719
0.980 0.781 0.144
```



3.
# CrInO2
Computed powder XRD pattern, Cu Kα X-rays. Input: a PBE+U-relaxed structure.
Kinematic intensities with the Lorentz-polarization factor, no thermal factor.

Most intense lines, 5° ≤ 2θ ≤ 70°, low angle first:
2θ/deg	Rel. int.
19.0	54.4
22.9	94.2
26.3	84.8
32.0	51.0
32.3	38.8
34.9	55.8
35.0	73.7
35.3	100.0
39.0	69.6
54.5	36.1

Structure:
```
CrInO2
1.0
3.053 0.000 0.000
-0.119 5.175 0.000
-0.463 -1.545 7.637
Cr In O
2 2 4
Direct
0.000 0.000 0.000
0.500 0.500 0.000
0.215 0.711 0.376
0.785 0.289 0.624
0.023 0.383 0.139
0.489 0.129 0.863
0.511 0.871 0.137
0.977 0.617 0.861
```



4.
# CrInSeO5
Computed powder XRD pattern, Cu Kα X-rays. Input: a PBE+U-relaxed structure.
Kinematic intensities with the Lorentz-polarization factor, no thermal factor.

Most intense lines, 5° ≤ 2θ ≤ 70°, low angle first:
2θ/deg	Rel. int.
16.7	16.4
25.0	93.1
25.3	100.0
34.0	21.2
34.2	21.7
35.5	60.6
35.7	19.4
36.0	18.3
45.7	25.6
51.5	27.6

Structure:
```
CrInSeO5
1.0
4.064 -4.059 0.000
4.064 4.059 0.000
-3.942 0.000 6.885
Cr In Se O
2 2 2 10
Direct
0.191 0.809 0.750
0.809 0.191 0.250
0.500 0.500 0.000
0.500 0.500 0.500
0.165 0.835 0.250
0.835 0.165 0.750
0.166 0.180 0.840
0.180 0.166 0.340
0.222 0.767 0.492
0.233 0.778 0.008
0.425 0.575 0.750
0.575 0.425 0.250
0.767 0.222 0.992
0.778 0.233 0.508
0.820 0.834 0.660
0.834 0.820 0.160
```